Diffraction record for Pm3BeGe3. The X-ray powder pattern is simulated, not measured: it uses DFT lattice parameters and positions (PBE) and Cu Kα X-rays.
No peak broadening, texture or thermal motion is included.

Most intense lines, 2θ from 10° to 90°, sorted by position:
(hkl)	Position (°2θ)	d (Å)	I_rel
1 0 3	26.74	3.334	29
0 0 6	29.70	3.008	30
1 1 2	31.94	2.802	100
0 1 5	32.21	2.779	55
1 1 4	36.41	2.468	43
0 2 0	41.47	2.178	29
1 0 7	41.66	2.168	21
2 0 0	45.29	2.002	23
2 1 5	56.66	1.625	22
0 1 11	60.25	1.536	31

Structural model:
abc: 4.0042 4.3553 18.0506
angles: 90.00 90.00 90.00
Space group Imm2 (No. 44)
Asymmetric unit:
Pm1 0.0000 0.0000 0.0000 (multiplicity 2)
Pm2 0.0000 0.0000 0.3656 (multiplicity 2)
Pm3 0.0000 0.5000 0.6814 (multiplicity 2)
Be1 0.0000 0.5000 0.1129 (multiplicity 2)
Ge1 0.0000 0.0000 0.5474 (multiplicity 2)
Ge2 0.0000 0.0000 0.8288 (multiplicity 2)
Ge3 0.0000 0.5000 0.2376 (multiplicity 2)

Diffraction record for PmBe3Ge3. The X-ray powder pattern is simulated, not measured: it uses DFT lattice parameters and positions (PBE) and Cu Kα X-rays.
No peak broadening, texture or thermal motion is included.

Most intense lines, 2θ from 10° to 90°, sorted by position:
(hkl)	Position (°2θ)	d (Å)	I_rel
1 1 0	20.00	4.440	16
2 0 0	28.43	3.140	44
2 1 0	31.87	2.808	47
2 1 1	35.00	2.563	100
3 2 0	52.55	1.742	11
3 2 1	54.69	1.678	55
4 0 0	58.83	1.570	16
4 2 0	66.61	1.404	15
3 3 2	70.32	1.339	13
5 2 1	84.51	1.146	16

Structural model:
abc: 6.2792 6.2792 6.2792
angles: 90.00 90.00 90.00
Space group Pm-3n (No. 223)
Asymmetric unit:
Pm1 0.0000 0.0000 0.0000 (multiplicity 2)
Be1 0.0000 0.2500 0.5000 (multiplicity 6)
Ge1 0.0000 0.5000 0.2500 (multiplicity 6)

Diffraction record for PmBeGe2Pt. The X-ray powder pattern is simulated, not measured: it uses DFT lattice parameters and positions (PBE) and Cu Kα X-rays.
No peak broadening, texture or thermal motion is included.

Most intense lines, 2θ from 10° to 90°, sorted by position:
(hkl)	Position (°2θ)	d (Å)	I_rel
1 0 1	23.29	3.819	80
1 0 3	33.53	2.672	84
1 1 2	35.33	2.540	100
2 0 0	44.23	2.048	52
1 0 5	48.42	1.880	35
2 1 1	50.57	1.805	21
2 1 3	56.62	1.625	38
2 2 0	64.33	1.448	17
2 1 5	67.65	1.385	26
3 1 2	75.59	1.258	22

Structural model:
abc: 4.0957 4.0957 10.5798
angles: 90.00 90.00 90.00
Space group I-4m2 (No. 119)
Asymmetric unit:
Pm1 0.0000 0.0000 0.0000 (multiplicity 2)
Be1 0.0000 0.5000 0.2500 (multiplicity 2)
Ge1 0.0000 0.0000 0.3811 (multiplicity 4)
Pt1 0.0000 0.5000 0.7500 (multiplicity 2)

Diffraction record for PmBeGePt3. The X-ray powder pattern is simulated, not measured: it uses DFT lattice parameters and positions (PBE) and Cu Kα X-rays.
No peak broadening, texture or thermal motion is included.

Most intense lines, 2θ from 10° to 90°, sorted by position:
(hkl)	Position (°2θ)	d (Å)	I_rel
0 2 0	14.84	5.970	17
0 4 0	29.93	2.985	19
2 2 0	31.60	2.831	100
0 2 2	35.39	2.536	78
2 4 0	41.27	2.188	21
2 0 2	42.81	2.112	78
1 5 1	43.53	2.079	23
0 4 2	44.34	2.043	19
2 6 2	64.31	1.449	17
4 2 2	69.18	1.358	18

Structural model:
abc: 6.4312 11.9407 5.6033
angles: 90.00 90.00 90.00
Space group Cmcm (No. 63)
Asymmetric unit:
Pm1 0.0000 0.2248 0.2500 (multiplicity 4)
Be1 0.0000 0.4788 0.2500 (multiplicity 4)
Ge1 0.0000 0.1281 0.7500 (multiplicity 4)
Pt1 0.0000 0.3296 0.7500 (multiplicity 4)
Pt2 0.2264 0.0000 0.0000 (multiplicity 8)

Diffraction record for PrBe3Ge3. The X-ray powder pattern is simulated, not measured: it uses DFT lattice parameters and positions (PBE) and Cu Kα X-rays.
No peak broadening, texture or thermal motion is included.

Most intense lines, 2θ from 10° to 90°, sorted by position:
(hkl)	Position (°2θ)	d (Å)	I_rel
1 1 0	19.93	4.454	14
2 0 0	28.34	3.150	44
2 1 0	31.76	2.817	49
2 1 1	34.89	2.572	100
3 2 0	52.37	1.747	12
3 2 1	54.50	1.684	55
4 0 0	58.62	1.575	16
4 2 0	66.36	1.409	15
3 3 2	70.06	1.343	13
5 2 1	84.18	1.150	16

Structural model:
abc: 6.2993 6.2993 6.2993
angles: 90.00 90.00 90.00
Space group Pm-3n (No. 223)
Asymmetric unit:
Pr1 0.0000 0.0000 0.0000 (multiplicity 2)
Be1 0.0000 0.2500 0.5000 (multiplicity 6)
Ge1 0.0000 0.5000 0.2500 (multiplicity 6)

Diffraction record for Pr2BeGe3. The X-ray powder pattern is simulated, not measured: it uses DFT lattice parameters and positions (PBE) and Cu Kα X-rays.
No peak broadening, texture or thermal motion is included.

Most intense lines, 2θ from 10° to 90°, sorted by position:
(hkl)	Position (°2θ)	d (Å)	I_rel
1 0 1	25.04	3.557	18
0 1 2	32.38	2.765	47
1 1 1	32.53	2.753	100
0 2 0	41.54	2.174	20
1 0 3	43.87	2.064	32
2 0 0	44.22	2.048	17
2 1 2	55.86	1.646	20
1 2 3	62.01	1.497	23
2 2 0	62.28	1.491	12
1 3 1	70.09	1.342	16

Structural model:
abc: 4.0965 4.3475 7.1670
angles: 90.00 90.00 90.00
Space group Pmm2 (No. 25)
Asymmetric unit:
Pr1 0.0000 0.0000 0.0000 (multiplicity 1)
Pr2 0.5000 0.0000 0.5003 (multiplicity 1)
Be1 0.0000 0.5000 0.6780 (multiplicity 1)
Ge1 0.0000 0.5000 0.3619 (multiplicity 1)
Ge2 0.5000 0.5000 0.1600 (multiplicity 1)
Ge3 0.5000 0.5000 0.8087 (multiplicity 1)